Computed PXRD pattern of AgSnAu3 for a wavelength of 1.5418 Å, from the GGA-PBE geometry in Alexandria.
Peak positions follow from Bragg's law for the DFT cell and can differ from measured ones.

Top 8 peaks for 10 to 80 degrees two-theta, low angle first:
2.877 Å, 2θ 31.1, I = 48.4; 2.532 Å, 2θ 35.4, I = 20.2; 2.460 Å, 2θ 36.5, I = 100.0; 2.452 Å, 2θ 36.7, I = 44.9; 2.411 Å, 2θ 37.3, I = 69.6; 2.263 Å, 2θ 39.8, I = 61.4; 2.238 Å, 2θ 40.3, I = 48.0; 2.129 Å, 2θ 42.5, I = 26.5

Structural model:
Cell: 7.4876 7.4876 8.1292 Å, 98.40 98.40 114.12°
Atoms (fractional coordinates):
Ag 0.0426 0.7257 0.5660
Ag 0.2743 0.9574 0.9340
Ag 0.7257 0.0426 0.0660
Ag 0.9574 0.2743 0.4340
Sn 0.0667 0.9333 0.2500
Sn 0.4225 0.5775 0.7500
Sn 0.5775 0.4225 0.2500
Sn 0.9333 0.0667 0.7500
Au 0.0440 0.4850 0.8246
Au 0.1572 0.2689 0.0998
Au 0.2689 0.1572 0.5998
Au 0.3157 0.6005 0.4119
Au 0.3995 0.6843 0.0881
Au 0.4850 0.0440 0.3246
Au 0.5150 0.9560 0.6754
Au 0.6005 0.3157 0.9119
Au 0.6843 0.3995 0.5881
Au 0.7311 0.8428 0.4002
Au 0.8428 0.7311 0.9002
Au 0.9560 0.5150 0.1754

=====

Computed PXRD pattern of PmZn8Pd4 for a wavelength of 1.5418 Å, from the GGA-PBE geometry in Alexandria.
Peak positions follow from Bragg's law for the DFT cell and can differ from measured ones.

Top 8 peaks for 10 to 80 degrees two-theta, low angle first:
2.592 Å, 2θ 34.6, I = 38.1; 2.329 Å, 2θ 38.7, I = 100.0; 2.235 Å, 2θ 40.4, I = 75.9; 2.206 Å, 2θ 40.9, I = 65.1; 2.060 Å, 2θ 44.0, I = 59.6; 1.973 Å, 2θ 46.0, I = 28.9; 1.464 Å, 2θ 63.5, I = 23.1; 1.296 Å, 2θ 73.0, I = 26.7

Structural model:
Cell: 6.8155 6.8155 6.8155 Å, 99.32 99.32 132.55°
Atoms (fractional coordinates):
Pm 0.0000 0.0000 0.0000
Zn 0.0000 0.3492 0.3492
Zn 0.0000 0.6508 0.6508
Zn 0.2818 0.5000 0.7818
Zn 0.3492 0.0000 0.3492
Zn 0.5000 0.2818 0.7818
Zn 0.5000 0.7182 0.2182
Zn 0.6508 0.0000 0.6508
Zn 0.7182 0.5000 0.2182
Pd 0.0000 0.0000 0.5000
Pd 0.0000 0.5000 0.0000
Pd 0.5000 0.0000 0.0000
Pd 0.5000 0.5000 0.5000

=====

Computed PXRD pattern of Re2HgTe for a wavelength of 1.5418 Å, from the GGA-PBE geometry in Alexandria.
Peak positions follow from Bragg's law for the DFT cell and can differ from measured ones.

Top 8 peaks for 10 to 80 degrees two-theta, low angle first:
3.084 Å, 2θ 29.0, I = 22.3; 3.017 Å, 2θ 29.6, I = 18.8; 2.531 Å, 2θ 35.5, I = 100.0; 2.158 Å, 2θ 41.9, I = 65.7; 2.137 Å, 2θ 42.3, I = 25.9; 2.082 Å, 2θ 43.5, I = 43.5; 1.940 Å, 2θ 46.8, I = 15.0; 1.296 Å, 2θ 73.0, I = 16.7

Structural model:
Cell: 3.0167 3.0263 9.2519 Å, 90.00 90.05 90.00°
Atoms (fractional coordinates):
Re 0.0000 0.0000 0.0000
Re 0.5004 0.5000 0.1570
Hg 0.4972 0.5000 0.7657
Te 0.5028 0.0000 0.4138

=====

Copy entry 3 word for word.
Computed PXRD pattern of Re2HgTe for a wavelength of 1.5418 Å, from the GGA-PBE geometry in Alexandria.
Peak positions follow from Bragg's law for the DFT cell and can differ from measured ones.

Top 8 peaks for 10 to 80 degrees two-theta, low angle first:
3.084 Å, 2θ 29.0, I = 22.3; 3.017 Å, 2θ 29.6, I = 18.8; 2.531 Å, 2θ 35.5, I = 100.0; 2.158 Å, 2θ 41.9, I = 65.7; 2.137 Å, 2θ 42.3, I = 25.9; 2.082 Å, 2θ 43.5, I = 43.5; 1.940 Å, 2θ 46.8, I = 15.0; 1.296 Å, 2θ 73.0, I = 16.7

Structural model:
Cell: 3.0167 3.0263 9.2519 Å, 90.00 90.05 90.00°
Atoms (fractional coordinates):
Re 0.0000 0.0000 0.0000
Re 0.5004 0.5000 0.1570
Hg 0.4972 0.5000 0.7657
Te 0.5028 0.0000 0.4138